Starting from DFT lattice parameters and positions (PBE), the XRD peak list of CePr3As4 was simulated for Cu Ka.
Neutral-atom scattering factors, no anomalous dispersion.

Atomic structure:
```
data_CePr3As4
_cell_length_a 8.5760
_cell_length_b 12.1100
_cell_length_c 4.2849
_cell_angle_alpha 90.00
_cell_angle_beta 90.00
_cell_angle_gamma 90.00
_space_group_name_H-M_alt 'C m m m'
_space_group_IT_number 65
_space_group_name_Hall '-C 2 2'
loop_
_atom_site_label
_atom_site_type_symbol
_atom_site_fract_x
_atom_site_fract_y
_atom_site_fract_z
_atom_site_occupancy
Ce1 Ce 0.0000 0.0000 0.0000 1
Pr1 Pr 0.0000 0.5000 0.0000 1
Pr2 Pr 0.2500 0.2500 0.5000 1
As1 As 0.0000 0.2465 0.0000 1
As2 As 0.2443 0.0000 0.5000 1
```

Main lines, sorted by position (10° ≤ 2θ ≤ 90°):
2θ 25.46, rel. 162
2θ 29.48, rel. 1000
2θ 42.18, rel. 751
2θ 52.30, rel. 266
2θ 69.35, rel. 338
2θ 77.11, rel. 251